Computed powder diffraction line list of YbB4O7 for Cu Kα X-rays, from DFT lattice parameters and positions (GGA-PBE).

Structure:
```
data_YbB4O7
_symmetry_space_group_name_H-M 'P m n 21'
_symmetry_Int_Tables_number 31
_symmetry_space_group_name_Hall 'P 2ac -2'
_cell_length_a 10.7429
_cell_length_b 4.4266
_cell_length_c 4.2456
_cell_angle_alpha 90.00
_cell_angle_beta 90.00
_cell_angle_gamma 90.00
loop_
_atom_site_label
_atom_site_type_symbol
_atom_site_fract_x
_atom_site_fract_y
_atom_site_fract_z
Yb1 Yb 0.0000 0.2002 0.0000
B1 B 0.1208 0.6735 0.4920
B2 B 0.2491 0.8227 0.0163
O1 O 0.0000 0.7769 0.6016
O2 O 0.1343 0.7269 0.1543
O3 O 0.1396 0.3543 0.5663
O4 O 0.2231 0.8655 0.6585
```

Top 8 peaks for 2θ = 15–90°, by angle:
| index | 2θ (°) | I_rel |
| --- | --- | --- |
| 2 0 0 | 16.50 | 62 |
| 1 1 0 | 21.71 | 64 |
| 1 0 1 | 22.52 | 69 |
| 0 1 1 | 29.14 | 45 |
| 3 1 0 | 32.15 | 49 |
| 3 0 1 | 32.72 | 56 |
| 2 1 1 | 33.67 | 100 |
| 4 1 1 | 44.88 | 55 |